Simulated PXRD pattern
Compound: NaC2O3
Radiation: Cu Kα X-rays
Structure: a GGA-PBE-relaxed structure

Peak list (10 most intense, 10 to 80 degrees two-theta, in order of rising 2θ)
d 5.035, I 105, (0 0 1)
d 3.784, I 178, (1 0 1)
d 3.342, I 1000, (0 2 0)
d 3.293, I 273, (1 1 1)
d 2.505, I 103, (1 2 1)
d 2.492, I 362, (2 0 1)
d 2.179, I 143, (1 1 2)
d 1.998, I 329, (2 2 1)
d 1.671, I 86, (0 4 0)
d 1.388, I 74, (2 4 1)

Structure:
```
data_NaC2O3
_chemical_formula_sum 'Na2 C4 O6'
_symmetry_space_group_name_H-M 'P m m n'
_symmetry_Int_Tables_number 59
_cell_length_a 5.7356
_cell_length_b 6.6836
_cell_length_c 5.0352
_cell_angle_alpha 90.00
_cell_angle_beta 90.00
_cell_angle_gamma 90.00
loop_
_symmetry_equiv_pos_as_xyz
'x,y,z'
'-x,-y,-z'
'-x+1/2,-y+1/2,z'
'x+1/2,y+1/2,-z'
'x+1/2,-y,-z'
'-x+1/2,y,z'
'-x,y+1/2,-z'
'x,-y+1/2,z'
loop_
_atom_site_label
_atom_site_type_symbol
_atom_site_fract_x
_atom_site_fract_y
_atom_site_fract_z
Na1 Na 0.2500 0.2500 0.0490
C1 C 0.0284 0.7500 0.3644
O1 O 0.0199 0.7500 0.6038
O2 O 0.2500 0.7500 0.2249
```